Diffraction record for Hf3Zn3N. The powder X-ray diffraction pattern is calculated, not measured: it uses a GGA-PBE-relaxed structure and Cu Kα (λ = 1.5418 Å).
Peak positions follow from Bragg's law for the DFT cell and can differ from measured ones.

Structure:
```
Hf3Zn3N
1.0
0.000 6.021 6.021
6.021 0.000 6.021
6.021 6.021 0.000
Hf Zn N
12 12 4
Direct
0.060 0.060 0.690
0.060 0.690 0.060
0.060 0.690 0.690
0.310 0.310 0.940
0.310 0.940 0.310
0.310 0.940 0.940
0.690 0.060 0.060
0.690 0.060 0.690
0.690 0.690 0.060
0.940 0.310 0.310
0.940 0.310 0.940
0.940 0.940 0.310
0.000 0.500 0.500
0.292 0.292 0.292
0.292 0.292 0.623
0.292 0.623 0.292
0.377 0.708 0.708
0.500 0.000 0.500
0.500 0.500 0.000
0.500 0.500 0.500
0.623 0.292 0.292
0.708 0.377 0.708
0.708 0.708 0.377
0.708 0.708 0.708
0.000 0.000 0.000
0.000 0.000 0.500
0.000 0.500 0.000
0.500 0.000 0.000
```

The 10 most intense peaks (5° ≤ 2θ ≤ 70°), in order of falling intensity:
- 2θ 38.86, I 1000
- 2θ 36.55, I 537
- 2θ 65.80, I 482
- 2θ 32.41, I 271
- 2θ 42.46, I 179
- 2θ 12.73, I 131
- 2θ 54.41, I 118
- 2θ 29.67, I 108
- 2θ 67.34, I 106
- 2θ 63.20, I 96